The following is a simulated X-ray diffraction stick pattern of V6As2C. It was derived from the GGA-PBE geometry in Alexandria, using Cu Kα X-rays.

Most intense lines, 10 to 90 degrees two-theta, by angle:
| 2θ (°) | I (rel.) |
| --- | --- |
| 38.00 | 1000 |
| 39.40 | 358 |
| 39.86 | 515 |
| 42.03 | 508 |
| 44.67 | 367 |
| 47.06 | 573 |
| 47.86 | 488 |
| 48.82 | 407 |

a = 5.1860 Å, b = 6.1284 Å, c = 9.0000 Å
α = 90.00°, β = 123.99°, γ = 90.00°
Fractional coordinates of all 18 atoms:
V1 0.1263 0.1779 0.4537
V2 0.1263 0.3221 0.9537
V3 0.2961 0.7020 0.4527
V4 0.2961 0.7980 0.9527
V5 0.3063 0.9998 0.2251
V6 0.3063 0.5002 0.7251
V7 0.6937 0.0002 0.7749
V8 0.6937 0.4998 0.2749
V9 0.7039 0.2020 0.0473
V10 0.7039 0.2980 0.5473
V11 0.8737 0.6779 0.0463
V12 0.8737 0.8221 0.5463
As1 0.2086 0.1043 0.7519
As2 0.2086 0.3957 0.2519
As3 0.7914 0.6043 0.7481
As4 0.7914 0.8957 0.2481
C1 0.5000 0.0000 0.5000
C2 0.5000 0.5000 0.0000


The following is a simulated X-ray diffraction stick pattern of V8As2C. It was derived from the GGA-PBE geometry in Alexandria, using Cu Kα X-rays.

Most intense lines, 10 to 90 degrees two-theta, by angle:
| 2θ (°) | I (rel.) |
| --- | --- |
| 39.58 | 277 |
| 40.31 | 1000 |
| 41.66 | 390 |
| 42.29 | 782 |
| 43.38 | 792 |
| 43.54 | 318 |
| 47.29 | 333 |
| 49.18 | 240 |

a = 7.2918 Å, b = 7.2918 Å, c = 5.1247 Å
α = 107.68°, β = 107.68°, γ = 33.24°
Fractional coordinates of all 11 atoms:
V1 0.0011 0.0011 0.2672
V2 0.2168 0.2168 0.6161
V3 0.3664 0.3664 0.2457
V4 0.4151 0.4151 0.7929
V5 0.5849 0.5849 0.2071
V6 0.6336 0.6336 0.7543
V7 0.7832 0.7832 0.3839
V8 0.9989 0.9989 0.7328
As1 0.1689 0.1689 0.0993
As2 0.8311 0.8311 0.9007
C1 0.5000 0.5000 0.5000


The following is a simulated X-ray diffraction stick pattern of V2AsWC. It was derived from the GGA-PBE geometry in Alexandria, using Cu Kα X-rays.

Most intense lines, 10 to 90 degrees two-theta, by angle:
| 2θ (°) | I (rel.) |
| --- | --- |
| 21.53 | 185 |
| 22.24 | 223 |
| 31.66 | 199 |
| 38.61 | 1000 |
| 43.88 | 193 |
| 45.38 | 349 |
| 64.96 | 231 |
| 79.27 | 238 |

a = 3.9970 Å, b = 3.9970 Å, c = 4.1266 Å
α = 90.00°, β = 90.00°, γ = 90.00°
Fractional coordinates of all 5 atoms:
V1 0.0000 0.5000 0.0000
V2 0.5000 0.0000 0.0000
As1 0.0000 0.0000 0.5000
W1 0.5000 0.5000 0.5000
C1 0.5000 0.5000 0.0000


The following is a simulated X-ray diffraction stick pattern of Zr8As2C3. It was derived from the GGA-PBE geometry in Alexandria, using Cu Kα X-rays.

Most intense lines, 10 to 90 degrees two-theta, by angle:
| 2θ (°) | I (rel.) |
| --- | --- |
| 30.29 | 323 |
| 30.63 | 752 |
| 35.87 | 821 |
| 36.14 | 435 |
| 38.01 | 622 |
| 39.34 | 1000 |
| 44.03 | 295 |
| 53.15 | 487 |

a = 7.2692 Å, b = 7.2692 Å, c = 6.0088 Å
α = 104.49°, β = 104.49°, γ = 55.51°
Fractional coordinates of all 13 atoms:
Zr1 0.0974 0.0974 0.4189
Zr2 0.1531 0.6467 0.1098
Zr3 0.3533 0.8469 0.8902
Zr4 0.4006 0.4006 0.6074
Zr5 0.5994 0.5994 0.3926
Zr6 0.6467 0.1531 0.1098
Zr7 0.8469 0.3533 0.8902
Zr8 0.9026 0.9026 0.5811
As1 0.2456 0.2456 0.1846
As2 0.7544 0.7544 0.8154
C1 0.2623 0.7377 0.5000
C2 0.5000 0.5000 0.0000
C3 0.7377 0.2623 0.5000


The following is a simulated X-ray diffraction stick pattern of Ca3As2. It was derived from the GGA-PBE geometry in Alexandria, using Cu Kα X-rays.

Most intense lines, 10 to 90 degrees two-theta, by angle:
| 2θ (°) | I (rel.) |
| --- | --- |
| 16.43 | 506 |
| 22.93 | 991 |
| 23.70 | 596 |
| 27.50 | 981 |
| 33.22 | 800 |
| 36.77 | 1000 |
| 41.22 | 741 |
| 41.68 | 936 |

a = 7.7649 Å, b = 7.7649 Å, c = 7.7649 Å
α = 57.81°, β = 57.81°, γ = 57.81°
Fractional coordinates of all 10 atoms:
Ca1 0.0407 0.7500 0.4593
Ca2 0.2500 0.5407 0.9593
Ca3 0.4593 0.0407 0.7500
Ca4 0.5407 0.9593 0.2500
Ca5 0.7500 0.4593 0.0407
Ca6 0.9593 0.2500 0.5407
As1 0.1430 0.1430 0.1430
As2 0.3570 0.3570 0.3570
As3 0.6430 0.6430 0.6430
As4 0.8570 0.8570 0.8570


The following is a simulated X-ray diffraction stick pattern of CaAs8. It was derived from the GGA-PBE geometry in Alexandria, using Cu Kα X-rays.

Most intense lines, 10 to 90 degrees two-theta, by angle:
| 2θ (°) | I (rel.) |
| --- | --- |
| 16.51 | 132 |
| 35.47 | 388 |
| 36.09 | 1000 |
| 39.93 | 170 |
| 43.48 | 145 |
| 64.08 | 140 |
| 65.30 | 126 |
| 76.62 | 150 |

a = 7.7875 Å, b = 7.7875 Å, c = 7.7875 Å
α = 92.83°, β = 92.83°, γ = 154.31°
Fractional coordinates of all 9 atoms:
Ca1 0.0000 0.0000 0.0000
As1 0.0000 0.2763 0.2763
As2 0.0000 0.7237 0.7237
As3 0.2763 0.0000 0.2763
As4 0.3305 0.3305 0.6610
As5 0.3305 0.6695 0.0000
As6 0.6695 0.3305 0.0000
As7 0.6695 0.6695 0.3390
As8 0.7237 0.0000 0.7237


What did the second record say?
The following is a simulated X-ray diffraction stick pattern of V8As2C. It was derived from the GGA-PBE geometry in Alexandria, using Cu Kα X-rays.

Most intense lines, 10 to 90 degrees two-theta, by angle:
| 2θ (°) | I (rel.) |
| --- | --- |
| 39.58 | 277 |
| 40.31 | 1000 |
| 41.66 | 390 |
| 42.29 | 782 |
| 43.38 | 792 |
| 43.54 | 318 |
| 47.29 | 333 |
| 49.18 | 240 |

a = 7.2918 Å, b = 7.2918 Å, c = 5.1247 Å
α = 107.68°, β = 107.68°, γ = 33.24°
Fractional coordinates of all 11 atoms:
V1 0.0011 0.0011 0.2672
V2 0.2168 0.2168 0.6161
V3 0.3664 0.3664 0.2457
V4 0.4151 0.4151 0.7929
V5 0.5849 0.5849 0.2071
V6 0.6336 0.6336 0.7543
V7 0.7832 0.7832 0.3839
V8 0.9989 0.9989 0.7328
As1 0.1689 0.1689 0.0993
As2 0.8311 0.8311 0.9007
C1 0.5000 0.5000 0.5000